Calculated powder diffraction line list
Compound: CaCd7
Radiation: Cu Kα X-rays
Structure: a cell relaxed with PBE
Lines closer than 0.1° are merged.

Crystal structure
```
16
Lattice="12.046 0.000 0.000 0.000 8.985 0.000 -1.164 0.000 3.584" Properties=species:S:1:pos:R:3 pbc="T T T"
Ca 0.000 0.000 0.000
Ca 6.023 4.492 0.000
Cd 0.000 4.492 0.000
Cd 0.849 2.562 2.270
Cd 0.849 6.423 2.270
Cd 2.042 0.000 2.656
Cd 2.817 4.492 0.928
Cd 4.011 1.931 1.314
Cd 4.011 7.054 1.314
Cd 6.023 0.000 0.000
Cd 6.872 1.931 2.270
Cd 6.872 7.054 2.270
Cd 8.065 4.492 2.656
Cd 8.840 0.000 0.928
Cd 10.034 2.562 1.314
Cd 10.034 6.423 1.314
```

Most intense lines, 2θ = 10–80°, sorted by position:
12.5°, rel. 35
32.0°, rel. 88
33.3°, rel. 34
33.5°, rel. 33
37.2°, rel. 100
38.4°, rel. 50
40.1°, rel. 30
48.3°, rel. 26
62.4°, rel. 21
62.6°, rel. 21

---

Calculated powder diffraction line list
Compound: Tb2ThGe2
Radiation: Cu Kα X-rays
Structure: a cell relaxed with PBE
Lines closer than 0.1° are merged.

Crystal structure
```
10
Lattice="7.957 0.000 0.000 0.000 7.957 0.000 0.000 0.000 4.004" Properties=species:S:1:pos:R:3 pbc="T T T"
Tb 1.323 2.655 0.000
Tb 2.655 6.634 0.000
Tb 5.301 1.323 0.000
Tb 6.634 5.301 0.000
Th 0.000 0.000 2.002
Th 3.978 3.978 2.002
Ge 1.053 5.032 2.002
Ge 2.925 1.053 2.002
Ge 5.032 6.903 2.002
Ge 6.903 2.925 2.002
```

Most intense lines, 2θ = 10–80°, sorted by position:
27.3°, rel. 38
31.7°, rel. 65
31.8°, rel. 22
33.7°, rel. 100
35.7°, rel. 76
45.3°, rel. 22
51.3°, rel. 20
54.0°, rel. 22
59.0°, rel. 36
64.0°, rel. 17

---

Calculated powder diffraction line list
Compound: Er3TlSe4O12
Radiation: Cu Kα X-rays
Structure: a cell relaxed with PBE
Lines closer than 0.1° are merged.

Crystal structure
```
20
Lattice="6.114 3.530 2.767 -6.114 3.530 2.767 0.000 -7.059 2.767" Properties=species:S:1:pos:R:3 pbc="T T T"
Er -3.466 -1.056 2.767
Er 2.648 -2.474 2.767
Er 0.819 3.530 2.767
Tl 0.000 0.000 0.000
Se -2.651 -4.592 4.150
Se 0.000 0.000 4.150
Se -2.651 4.592 4.150
Se 5.303 0.000 4.150
O -3.331 -2.991 4.104
O -4.694 0.000 4.150
O -0.925 -4.380 4.196
O -1.910 0.000 4.150
O -3.331 2.991 4.196
O 2.347 -4.065 4.150
O 0.955 -1.654 4.150
O -0.925 4.380 4.104
O 0.955 1.654 4.150
O 4.256 -1.389 4.104
O 2.347 4.065 4.150
O 4.256 1.389 4.196
```

Most intense lines, 2θ = 10–80°, sorted by position:
19.9°, rel. 27
24.7°, rel. 41
25.2°, rel. 25
27.3°, rel. 100
29.2°, rel. 32
32.3°, rel. 40
35.6°, rel. 23
47.0°, rel. 22
48.2°, rel. 19
54.1°, rel. 31